For In3Te2, a crystal structure in Alexandria, relaxed with GGA-PBE gives the simulated XRD peak list in this record (copper Kα).
Intensities are scaled so that the largest is 100.

Structural model:
```
In3Te2
1.0
2.2165 1.2797 9.3663
-2.2165 1.2797 9.3663
0.0000 -2.5594 9.3663
In Te
3 2
direct
0.0000 0.0000 0.0000 In
0.2024 0.2024 0.2024 In
0.7976 0.7976 0.7976 In
0.4039 0.4039 0.4039 Te
0.5961 0.5961 0.5961 Te
```

Most intense lines, 2θ = 10–90°, most intense first:
| d/Å | intensity |
| --- | --- |
| 3.170 | 100 |
| 2.267 | 38 |
| 2.216 | 37 |
| 1.816 | 20 |
| 1.405 | 17 |
| 1.431 | 16 |
| 1.585 | 12 |
| 1.289 | 12 |
| 1.873 | 7 |
| 1.280 | 6 |